Diffraction record for Nd4Fe4As4O3F. The PXRD pattern is theoretical, not measured: it uses a crystal structure in Alexandria, relaxed with PBE+U and copper Kα.
Peak positions follow from Bragg's law for the DFT cell and can differ from measured ones.

Structure:
```
data_Nd4Fe4As4O3F
_chemical_formula_sum 'Nd8 Fe8 As8 O6 F2'
_space_group_name_H-M_alt 'I -4 2 m'
_space_group_IT_number 121
_space_group_name_Hall 'I -4 2'
_cell_length_a 5.720
_cell_length_b 5.720
_cell_length_c 18.237
_cell_angle_alpha 90.00
_cell_angle_beta 90.00
_cell_angle_gamma 90.00
loop_
_atom_site_label
_atom_site_fract_x
_atom_site_fract_y
_atom_site_fract_z
_atom_site_occupancy
Nd1 0.239 0.239 0.431 1
Fe1 0.000 0.000 0.250 1
Fe2 0.000 0.500 0.250 1
As1 0.248 0.248 0.158 1
O1 0.000 0.000 0.500 1
O2 0.000 0.500 0.000 1
F1 0.000 0.000 0.000 1
```

Top 10 peaks for 10 to 90 degrees two-theta, sorted by position:
| 2theta | d_spacing | I_rel |
| --- | --- | --- |
| 29.52 | 3.026 | 100.0 |
| 31.28 | 2.860 | 22.2 |
| 32.82 | 2.729 | 19.9 |
| 37.00 | 2.430 | 12.7 |
| 37.11 | 2.423 | 32.2 |
| 44.82 | 2.022 | 34.5 |
| 45.69 | 1.986 | 12.1 |
| 51.25 | 1.783 | 24.9 |
| 54.58 | 1.682 | 38.3 |
| 65.25 | 1.430 | 10.6 |